For AlIn2MoO6, DFT lattice parameters and positions (PBE+U) gives the computed powder X-ray diffraction pattern in this record (Cu Kα (λ = 1.5418 Å)).
Lines closer than 0.1° are merged.

The 10 most intense peaks (10° ≤ 2θ ≤ 90°), by angle:
d = 4.422 Å, I = 12.8
d = 3.890 Å, I = 41.5
d = 2.818 Å, I = 100.0
d = 2.687 Å, I = 88.5
d = 2.335 Å, I = 13.2
d = 1.945 Å, I = 41.4
d = 1.774 Å, I = 38.2
d = 1.575 Å, I = 37.7
d = 1.551 Å, I = 28.4
d = 1.213 Å, I = 13.4

a b c (Å): 5.650 5.650 5.650
angles (deg): 56.80 56.80 56.80
Positions (direct):
Al (0.000, 0.000, 0.000)
In (0.213, 0.213, 0.213)
In (0.711, 0.711, 0.711)
Mo (0.499, 0.499, 0.499)
O (0.112, 0.797, 0.362)
O (0.262, 0.643, 0.890)
O (0.362, 0.112, 0.797)
O (0.643, 0.890, 0.262)
O (0.797, 0.362, 0.112)
O (0.890, 0.262, 0.643)